1.
Ac8Os3RhI3: simulated powder XRD pattern (Cu Kα (weighted mean of Kα1 and Kα2)), based on the PBE geometry in Alexandria.

Principal peaks in the range 2θ from 10° to 90°, most intense first:
Position (°2θ), intensity
27.23, 100
10.18, 51
41.29, 42
33.75, 29
36.37, 23
50.17, 19
45.13, 17
66.92, 16
52.43, 11
79.36, 11
29.14, 10
42.64, 10

Structure:
a b c (Å): 8.745 8.745 10.044
angles (deg): 115.74 115.74 60.04
Fractional positions:
Ac1 0.223 0.728 0.680
Ac2 0.228 0.228 0.683
Ac3 0.272 0.272 0.321
Ac4 0.272 0.777 0.320
Ac5 0.728 0.223 0.680
Ac6 0.728 0.728 0.679
Ac7 0.772 0.772 0.317
Ac8 0.777 0.272 0.320
Os1 0.000 0.000 0.500
Os2 0.000 0.500 0.500
Os3 0.500 0.000 0.500
Rh1 0.500 0.500 0.500
I1 0.000 0.500 0.000
I2 0.500 0.000 0.000
I3 0.500 0.500 0.000


2.
Ac6PPt2I2: simulated powder XRD pattern (Cu Kα (weighted mean of Kα1 and Kα2)), based on the PBE geometry in Alexandria.

Principal peaks in the range 2θ from 10° to 90°, most intense first:
Position (°2θ), intensity
27.20, 100
39.44, 27
11.10, 23
38.22, 20
49.52, 14
40.58, 13
34.74, 12
64.27, 11
24.18, 10
37.08, 9
48.23, 8
73.05, 7

Structure:
a b c (Å): 7.775 7.775 8.340
angles (deg): 98.69 98.69 118.14
Fractional positions:
Ac1 0.099 0.429 0.801
Ac2 0.212 0.212 0.202
Ac3 0.429 0.099 0.801
Ac4 0.571 0.901 0.199
Ac5 0.788 0.788 0.798
Ac6 0.901 0.571 0.199
P1 0.500 0.500 0.000
Pt1 0.170 0.830 0.000
Pt2 0.830 0.170 0.000
I1 0.337 0.663 0.500
I2 0.663 0.337 0.500